Structure and simulated XRD peak list of NaCd11Rh (DFT lattice parameters and positions (PBE); Cu Kα (λ = 1.5418 Å)).
Kinematic intensities with the Lorentz-polarization factor, no thermal factor.

Peak list (8 most intense, 2θ = 10–90°, low angle first)
- 35.39 deg, intensity 100
- 35.85 deg, intensity 51
- 36.34 deg, intensity 66
- 39.45 deg, intensity 39
- 40.02 deg, intensity 44
- 40.46 deg, intensity 59
- 40.72 deg, intensity 46
- 64.14 deg, intensity 39

Structural model:
```
NaCd11Rh
1.0
2.831 -7.235 0.000
2.831 7.235 0.000
-2.820 0.000 7.116
Na Cd Rh
1 11 1
Cartesian
0.000 0.000 0.000
2.761 -4.808 2.570
1.416 3.618 0.000
0.082 4.808 4.546
-0.104 1.481 5.597
2.761 4.808 2.570
-0.104 -1.481 5.597
1.416 -3.618 0.000
1.421 0.000 3.558
2.946 1.481 1.520
0.082 -4.808 4.546
2.946 -1.481 1.520
-1.410 0.000 3.558
```

Structure and simulated XRD peak list of Na2Cd2S3 (DFT lattice parameters and positions (PBE); Cu Kα (λ = 1.5418 Å)).
Kinematic intensities with the Lorentz-polarization factor, no thermal factor.

Peak list (8 most intense, 2θ = 10–90°, low angle first)
- 12.87 deg, intensity 100
- 18.96 deg, intensity 38
- 23.11 deg, intensity 62
- 26.19 deg, intensity 36
- 26.56 deg, intensity 63
- 34.96 deg, intensity 60
- 35.05 deg, intensity 42
- 42.30 deg, intensity 72

Structural model:
```
Na2Cd2S3
1.0
7.764 -6.808 0.000
7.764 6.808 0.000
-3.372 0.000 6.437
Na Cd S
8 8 12
Cartesian
5.235 5.768 4.827
6.921 3.787 1.609
5.052 1.139 2.353
3.366 -1.139 5.572
8.789 1.139 0.865
7.103 -1.139 4.083
5.235 -3.787 4.827
6.921 -5.768 1.609
2.499 3.581 4.808
0.496 1.001 5.154
2.182 -1.001 1.935
7.970 3.581 4.847
4.185 -3.581 1.589
9.973 1.001 4.501
11.659 -1.001 1.283
9.656 -3.581 1.629
1.849 1.010 0.335
4.203 3.742 2.866
0.163 -1.010 3.553
2.756 1.480 6.231
9.638 3.742 0.353
4.442 -1.480 3.012
7.713 1.480 3.424
2.517 -3.742 6.084
9.399 -1.480 0.206
11.992 1.010 2.884
7.952 -3.742 3.571
10.306 -1.010 6.102
```

Structure and simulated XRD peak list of NaCd2S3 (DFT lattice parameters and positions (PBE); Cu Kα (λ = 1.5418 Å)).
Kinematic intensities with the Lorentz-polarization factor, no thermal factor.

Peak list (8 most intense, 2θ = 10–90°, low angle first)
- 14.79 deg, intensity 34
- 17.78 deg, intensity 31
- 27.52 deg, intensity 33
- 27.63 deg, intensity 30
- 31.59 deg, intensity 100
- 32.65 deg, intensity 51
- 45.42 deg, intensity 17
- 46.06 deg, intensity 66

Structural model:
```
NaCd2S3
1.0
5.486 0.000 0.000
0.000 11.981 0.000
0.000 0.000 4.018
Na Cd S
2 4 6
Cartesian
1.371 2.995 0.924
4.114 8.986 3.094
1.371 6.946 0.940
1.371 11.025 0.940
4.114 0.956 3.078
4.114 5.035 3.078
1.371 0.780 2.802
1.371 5.211 2.802
1.371 8.986 3.484
4.114 2.995 0.534
4.114 6.770 1.216
4.114 11.201 1.216
```

Structure and simulated XRD peak list of Na2CdSnS4 (DFT lattice parameters and positions (PBE); Cu Kα (λ = 1.5418 Å)).
Kinematic intensities with the Lorentz-polarization factor, no thermal factor.

Peak list (8 most intense, 2θ = 10–90°, low angle first)
- 11.24 deg, intensity 73
- 17.09 deg, intensity 100
- 24.57 deg, intensity 86
- 25.83 deg, intensity 72
- 26.07 deg, intensity 51
- 27.81 deg, intensity 63
- 34.21 deg, intensity 51
- 40.89 deg, intensity 73

Structural model:
```
Na2CdSnS4
1.0
8.164 0.000 0.000
0.000 7.869 0.000
0.000 0.000 6.899
Na Cd Sn S
4 2 2 8
Cartesian
1.999 1.295 0.000
2.083 6.574 3.450
6.081 6.574 3.450
6.165 1.295 0.000
0.000 2.808 3.430
4.082 5.061 6.879
0.000 5.184 0.022
4.082 2.685 3.472
0.000 2.955 6.011
0.000 5.145 2.438
1.970 6.445 6.231
2.111 1.423 2.781
4.082 2.724 5.888
4.082 4.914 2.561
6.052 1.423 2.781
6.193 6.445 6.231
```

Structure and simulated XRD peak list of Na2TaCdS4 (DFT lattice parameters and positions (PBE); Cu Kα (λ = 1.5418 Å)).
Kinematic intensities with the Lorentz-polarization factor, no thermal factor.

Peak list (8 most intense, 2θ = 10–90°, low angle first)
- 16.21 deg, intensity 85
- 25.41 deg, intensity 100
- 33.34 deg, intensity 19
- 39.93 deg, intensity 18
- 41.37 deg, intensity 20
- 42.45 deg, intensity 38
- 49.18 deg, intensity 30
- 51.03 deg, intensity 23

Structural model:
```
Na2TaCdS4
1.0
6.173 0.000 0.000
0.000 6.173 0.000
0.000 0.000 11.768
Na Ta Cd S
4 2 2 8
Cartesian
0.000 0.000 0.000
0.000 3.086 2.942
3.086 0.000 8.826
3.086 3.086 5.884
0.000 3.086 8.826
3.086 0.000 2.942
0.000 0.000 5.884
3.086 3.086 0.000
1.276 4.471 7.480
1.385 1.811 10.172
1.701 1.276 4.288
1.811 4.788 1.596
4.362 1.385 1.596
4.471 4.897 4.288
4.788 4.362 10.172
4.897 1.701 7.480
```

Structure and simulated XRD peak list of Na6Cd23Sb (DFT lattice parameters and positions (PBE); Cu Kα (λ = 1.5418 Å)).
Kinematic intensities with the Lorentz-polarization factor, no thermal factor.

Peak list (8 most intense, 2θ = 10–90°, low angle first)
- 21.68 deg, intensity 21
- 25.09 deg, intensity 7
- 32.77 deg, intensity 10
- 35.77 deg, intensity 100
- 42.22 deg, intensity 14
- 51.49 deg, intensity 13
- 64.28 deg, intensity 23
- 79.95 deg, intensity 6

Structural model:
```
Na6Cd23Sb
1.0
0.000 7.099 7.099
7.099 0.000 7.099
7.099 7.099 0.000
Na Cd Sb
6 23 1
Cartesian
7.099 7.099 3.201
7.099 3.201 7.099
10.997 7.099 7.099
3.201 7.099 7.099
7.099 10.997 7.099
7.099 7.099 10.997
3.550 3.550 0.000
3.550 0.000 3.550
7.099 3.550 3.550
8.848 5.350 5.350
2.131 2.131 2.131
4.968 4.968 2.131
4.968 2.131 4.968
5.350 5.350 5.350
8.848 8.848 5.350
8.848 5.350 8.848
12.067 9.230 9.230
0.000 3.550 3.550
3.550 7.099 3.550
3.550 3.550 7.099
7.099 7.099 7.099
2.131 4.968 4.968
5.350 8.848 5.350
5.350 5.350 8.848
8.848 8.848 8.848
9.230 12.067 9.230
9.230 9.230 12.067
12.067 12.067 12.067
5.350 8.848 8.848
0.000 0.000 0.000
```

Structure and simulated XRD peak list of Na6CdSb2 (DFT lattice parameters and positions (PBE); Cu Kα (λ = 1.5418 Å)).
Kinematic intensities with the Lorentz-polarization factor, no thermal factor.

Peak list (8 most intense, 2θ = 10–90°, low angle first)
- 12.96 deg, intensity 24
- 20.90 deg, intensity 68
- 26.10 deg, intensity 44
- 32.99 deg, intensity 100
- 33.10 deg, intensity 67
- 47.44 deg, intensity 24
- 49.80 deg, intensity 31
- 58.99 deg, intensity 28

Structural model:
```
Na6CdSb2
1.0
9.415 0.000 0.000
0.000 9.927 0.000
0.000 0.000 5.423
Na Cd Sb
12 2 4
Cartesian
0.005 1.951 0.000
1.476 4.094 2.712
1.666 0.841 2.712
3.042 5.804 0.000
3.232 9.057 0.000
4.702 6.915 2.712
4.713 3.012 2.712
6.183 0.870 0.000
6.374 4.122 0.000
7.749 9.086 2.712
7.940 5.833 2.712
9.410 7.976 0.000
0.000 4.963 0.000
4.708 0.000 2.712
1.564 7.504 2.712
3.144 2.541 0.000
6.271 7.386 0.000
7.852 2.422 2.712
```

Structure and simulated XRD peak list of NaCd2Sb (DFT lattice parameters and positions (PBE); Cu Kα (λ = 1.5418 Å)).
Kinematic intensities with the Lorentz-polarization factor, no thermal factor.

Peak list (8 most intense, 2θ = 10–90°, low angle first)
- 16.39 deg, intensity 27
- 21.18 deg, intensity 54
- 28.95 deg, intensity 60
- 37.46 deg, intensity 100
- 38.74 deg, intensity 41
- 39.61 deg, intensity 60
- 56.60 deg, intensity 27
- 70.45 deg, intensity 30

Structural model:
```
NaCd2Sb
1.0
4.551 0.000 0.000
0.000 4.551 0.000
0.000 0.000 10.814
Na Cd Sb
2 4 2
Cartesian
1.138 1.138 2.672
3.413 3.413 8.143
1.138 1.138 10.393
1.138 3.413 5.407
3.413 1.138 5.407
3.413 3.413 0.422
1.138 1.138 7.323
3.413 3.413 3.491
```

Structure and simulated XRD peak list of Na17Cd11Sb (DFT lattice parameters and positions (PBE); Cu Kα (λ = 1.5418 Å)).
Kinematic intensities with the Lorentz-polarization factor, no thermal factor.

Peak list (8 most intense, 2θ = 10–90°, low angle first)
- 10.69 deg, intensity 34
- 18.37 deg, intensity 66
- 18.48 deg, intensity 36
- 18.72 deg, intensity 100
- 32.20 deg, intensity 51
- 32.64 deg, intensity 50
- 35.60 deg, intensity 41
- 36.28 deg, intensity 54

Structural model:
```
Na17Cd11Sb
1.0
5.847 -8.164 0.000
5.847 8.164 0.000
-5.816 0.000 8.412
Na Cd Sb
17 11 1
Cartesian
0.000 0.000 0.000
-1.772 2.825 5.544
-3.764 0.000 5.541
-2.114 4.825 8.189
0.355 2.469 2.209
3.638 3.344 2.929
0.355 -2.469 2.209
1.475 2.266 5.602
-1.772 -2.825 5.544
2.545 0.000 3.260
6.282 2.617 0.649
1.475 -2.266 5.602
-2.114 -4.825 8.189
5.786 0.000 2.648
3.638 -3.344 2.929
2.616 0.000 7.937
6.282 -2.617 0.649
0.951 5.190 4.049
3.031 1.518 0.293
1.047 5.242 7.098
3.031 -1.518 0.293
-0.613 0.000 7.238
4.658 1.483 5.560
0.951 -5.190 4.049
8.883 1.504 2.459
4.658 -1.483 5.560
1.047 -5.242 7.098
8.883 -1.504 2.459
-0.572 0.000 4.192
```

Structure and simulated XRD peak list of Na4CdSb3Se8 (DFT lattice parameters and positions (PBE); Cu Kα (λ = 1.5418 Å)).
Kinematic intensities with the Lorentz-polarization factor, no thermal factor.

Peak list (8 most intense, 2θ = 10–90°, low angle first)
- 12.48 deg, intensity 39
- 25.41 deg, intensity 13
- 30.25 deg, intensity 100
- 42.45 deg, intensity 37
- 44.14 deg, intensity 35
- 54.44 deg, intensity 18
- 70.14 deg, intensity 15
- 72.60 deg, intensity 15

Structural model:
```
Na4CdSb3Se8
1.0
4.103 2.369 7.094
-4.103 2.369 7.094
0.000 -4.738 7.094
Na Cd Sb Se
4 1 3 8
Cartesian
0.000 0.000 0.000
-2.052 -1.185 7.094
-2.052 1.185 14.188
0.000 2.369 7.094
0.000 0.000 10.641
-4.103 0.000 10.641
-2.052 1.185 3.547
2.052 1.185 3.547
-2.051 -1.184 12.259
0.000 0.000 5.202
0.000 -2.368 9.022
-2.051 1.184 9.022
2.051 -1.184 12.259
0.000 2.368 12.259
0.000 0.000 16.080
2.051 1.184 9.022
```

Structure and simulated XRD peak list of NaSr2CdSb2 (DFT lattice parameters and positions (PBE); Cu Kα (λ = 1.5418 Å)).
Kinematic intensities with the Lorentz-polarization factor, no thermal factor.

Peak list (8 most intense, 2θ = 10–90°, low angle first)
- 21.39 deg, intensity 33
- 26.13 deg, intensity 23
- 28.29 deg, intensity 27
- 28.44 deg, intensity 47
- 34.03 deg, intensity 64
- 34.17 deg, intensity 62
- 37.45 deg, intensity 100
- 58.85 deg, intensity 30

Structural model:
```
NaSr2CdSb2
1.0
-3.388 8.299 3.410
3.388 -8.299 3.410
3.388 8.299 -3.410
Na Sr Cd Sb
2 4 2 4
Cartesian
0.000 0.000 1.705
0.000 0.000 5.115
4.987 2.799 0.000
1.599 5.499 0.000
1.788 2.799 3.410
-1.599 5.499 3.410
3.388 0.000 1.705
0.000 8.299 1.705
1.644 2.105 0.000
1.644 -2.105 3.410
1.744 10.403 0.000
1.744 6.194 3.410
```

Structure and simulated XRD peak list of NaScCd6 (DFT lattice parameters and positions (PBE); Cu Kα (λ = 1.5418 Å)).
Kinematic intensities with the Lorentz-polarization factor, no thermal factor.

Peak list (8 most intense, 2θ = 10–90°, low angle first)
- 34.56 deg, intensity 100
- 39.55 deg, intensity 17
- 40.40 deg, intensity 32
- 57.82 deg, intensity 21
- 58.46 deg, intensity 10
- 68.55 deg, intensity 12
- 69.72 deg, intensity 24
- 72.89 deg, intensity 10

Structural model:
```
NaScCd6
1.0
4.465 0.000 0.000
0.000 4.465 0.000
0.000 0.000 9.115
Na Sc Cd
1 1 6
Cartesian
0.000 0.000 0.000
0.000 0.000 4.558
0.000 2.233 2.327
0.000 2.233 6.788
2.233 0.000 2.327
2.233 0.000 6.788
2.233 2.233 0.000
2.233 2.233 4.558
```